Diffraction record for HoLuCoGe2. The powder diffraction line list is computed, not measured: it uses a cell relaxed with GGA-PBE and Cu Kα (λ = 1.5418 Å).
Kinematic intensities with the Lorentz-polarization factor, no thermal factor.

Top 10 peaks for 2θ = 10–80°, in order of rising 2θ:
| Position (°2θ) | intensity |
| --- | --- |
| 27.2 | 33.9 |
| 33.8 | 46.0 |
| 34.0 | 51.8 |
| 34.5 | 100.0 |
| 34.9 | 36.2 |
| 37.8 | 41.8 |
| 40.4 | 26.5 |
| 41.6 | 65.3 |
| 43.5 | 51.7 |
| 60.8 | 23.7 |

Atomic structure:
```
data_HoLuCoGe2
_symmetry_space_group_name_H-M 'C 1 2/m 1'
_symmetry_Int_Tables_number 12
_cell_length_a 10.297
_cell_length_b 4.165
_cell_length_c 10.071
_cell_angle_alpha 90.00
_cell_angle_beta 117.47
_cell_angle_gamma 90.00
loop_
_symmetry_equiv_pos_as_xyz
'x,y,z'
'-x,-y,-z'
'-x,y,-z'
'x,-y,z'
'x+1/2,y+1/2,z'
'-x+1/2,-y+1/2,-z'
'-x+1/2,y+1/2,-z'
'x+1/2,-y+1/2,z'
loop_
_atom_site_label
_atom_site_fract_x
_atom_site_fract_y
_atom_site_fract_z
Ho1 0.188 0.000 0.115
Lu1 0.007 0.000 0.334
Co1 0.225 0.500 0.350
Ge1 0.016 0.500 0.876
Ge2 0.154 0.500 0.562
```

Diffraction record for HoCo2GeP. The powder diffraction line list is computed, not measured: it uses a cell relaxed with GGA-PBE and Cu Kα (λ = 1.5418 Å).
Kinematic intensities with the Lorentz-polarization factor, no thermal factor.

Top 10 peaks for 2θ = 10–80°, in order of rising 2θ:
| Position (°2θ) | intensity |
| --- | --- |
| 24.6 | 31.3 |
| 32.5 | 18.5 |
| 36.1 | 80.1 |
| 37.5 | 100.0 |
| 46.6 | 49.6 |
| 52.7 | 24.1 |
| 60.3 | 35.7 |
| 67.1 | 17.3 |
| 68.0 | 15.4 |
| 72.9 | 18.2 |

Atomic structure:
```
data_HoCo2GeP
_symmetry_space_group_name_H-M 'I 4 m m'
_symmetry_Int_Tables_number 107
_symmetry_space_group_name_Hall 'I 4 -2'
_cell_length_a 3.901
_cell_length_b 3.901
_cell_length_c 9.700
_cell_angle_alpha 90.00
_cell_angle_beta 90.00
_cell_angle_gamma 90.00
loop_
_atom_site_label
_atom_site_fract_x
_atom_site_fract_y
_atom_site_fract_z
Ho1 0.000 0.000 0.000
Co1 0.000 0.500 0.238
Ge1 0.000 0.000 0.371
P1 0.000 0.000 0.628
```

Diffraction record for HoCo4Sn2Ge4. The powder diffraction line list is computed, not measured: it uses a cell relaxed with GGA-PBE and Cu Kα (λ = 1.5418 Å).
Kinematic intensities with the Lorentz-polarization factor, no thermal factor.

Top 10 peaks for 2θ = 10–80°, in order of rising 2θ:
| Position (°2θ) | intensity |
| --- | --- |
| 32.2 | 69.2 |
| 34.6 | 100.0 |
| 34.7 | 35.0 |
| 38.6 | 49.8 |
| 42.5 | 49.6 |
| 43.4 | 25.2 |
| 44.4 | 26.0 |
| 44.6 | 41.2 |
| 51.5 | 25.7 |
| 67.4 | 31.9 |

Atomic structure:
```
data_HoCo4Sn2Ge4
_symmetry_space_group_name_H-M 'I -4 2 m'
_symmetry_Int_Tables_number 121
_symmetry_space_group_name_Hall 'I -4 2'
_cell_length_a 6.589
_cell_length_b 6.589
_cell_length_c 8.429
_cell_angle_alpha 90.00
_cell_angle_beta 90.00
_cell_angle_gamma 90.00
loop_
_atom_site_label
_atom_site_fract_x
_atom_site_fract_y
_atom_site_fract_z
Ho1 0.000 0.000 0.000
Co1 0.168 0.168 0.591
Sn1 0.000 0.500 0.000
Ge1 0.174 0.174 0.301
```